The following is a calculated powder X-ray diffraction pattern of Ta2O5. It was derived from a PBE-relaxed structure, using Cu Kα, 1.54184 Å.
No peak broadening, texture or thermal motion is included.

Largest 10 diffraction maxima, by angle, 2θ = 10–90°:
- d 4.794, 2θ = 18.51°, rel. 74
- d 4.641, 2θ = 19.12°, rel. 42
- d 3.750, 2θ = 23.73°, rel. 100
- d 2.954, 2θ = 30.26°, rel. 55
- d 2.737, 2θ = 32.72°, rel. 49
- d 2.652, 2θ = 33.80°, rel. 27
- d 1.905, 2θ = 47.75°, rel. 35
- d 1.803, 2θ = 50.62°, rel. 26
- d 1.677, 2θ = 54.73°, rel. 20
- d 1.491, 2θ = 62.26°, rel. 28

Cell and atoms:
a b c (Å): 6.086 6.086 6.086
angles (deg): 128.34 128.34 76.07
Fractional coordinates of all 7 atoms:
Ta  0.198  0.198  0.000
Ta  0.802  0.802  0.000
O  0.000  0.000  0.000
O  0.000  0.000  0.500
O  0.000  0.500  0.000
O  0.500  0.000  0.000
O  0.500  0.500  0.500

=====

The following is a calculated powder X-ray diffraction pattern of Ta2O5. It was derived from a PBE-relaxed structure, using Cu Kα, 1.54184 Å.
No peak broadening, texture or thermal motion is included.

Largest 10 diffraction maxima, by angle, 2θ = 10–90°:
- d 6.560, 2θ = 13.50°, rel. 25
- d 3.868, 2θ = 23.00°, rel. 100
- d 3.796, 2θ = 23.44°, rel. 23
- d 3.586, 2θ = 24.83°, rel. 53
- d 3.280, 2θ = 27.19°, rel. 51
- d 3.050, 2θ = 29.29°, rel. 44
- d 2.630, 2θ = 34.09°, rel. 29
- d 2.502, 2θ = 35.90°, rel. 33
- d 2.395, 2θ = 37.56°, rel. 30
- d 1.721, 2θ = 53.23°, rel. 24

Cell and atoms:
a b c (Å): 3.863 3.868 6.676
angles (deg): 90.00 100.68 90.00
Fractional coordinates of all 7 atoms:
Ta  0.173  0.000  0.289
Ta  0.827  0.000  0.711
O  0.000  0.000  0.000
O  0.225  0.500  0.283
O  0.284  0.000  0.624
O  0.716  0.000  0.376
O  0.775  0.500  0.717

=====

The following is a calculated powder X-ray diffraction pattern of Ta4O. It was derived from a PBE-relaxed structure, using Cu Kα, 1.54184 Å.
No peak broadening, texture or thermal motion is included.

Largest 10 diffraction maxima, by angle, 2θ = 10–90°:
- d 2.446, 2θ = 36.74°, rel. 100
- d 2.303, 2θ = 39.11°, rel. 51
- d 1.968, 2θ = 46.12°, rel. 6
- d 1.852, 2θ = 49.19°, rel. 9
- d 1.629, 2θ = 56.50°, rel. 17
- d 1.443, 2θ = 64.56°, rel. 16
- d 1.356, 2θ = 69.31°, rel. 32
- d 1.223, 2θ = 78.14°, rel. 10
- d 1.155, 2θ = 83.77°, rel. 5
- d 1.152, 2θ = 84.04°, rel. 6

Cell and atoms:
a b c (Å): 3.257 3.257 7.409
angles (deg): 90.00 90.00 90.00
Fractional coordinates of all 5 atoms:
Ta  0.000  0.000  0.000
Ta  0.000  0.000  0.500
Ta  0.500  0.500  0.217
Ta  0.500  0.500  0.783
O  0.500  0.500  0.500

=====

The following is a calculated powder X-ray diffraction pattern of Ta2O3. It was derived from a PBE-relaxed structure, using Cu Kα, 1.54184 Å.
No peak broadening, texture or thermal motion is included.

Largest 10 diffraction maxima, by angle, 2θ = 10–90°:
- d 5.452, 2θ = 16.26°, rel. 80
- d 3.680, 2θ = 24.18°, rel. 78
- d 2.752, 2θ = 32.54°, rel. 49
- d 2.726, 2θ = 32.85°, rel. 28
- d 2.507, 2θ = 35.82°, rel. 48
- d 2.470, 2θ = 36.38°, rel. 100
- d 2.303, 2θ = 39.12°, rel. 41
- d 1.867, 2θ = 48.79°, rel. 31
- d 1.856, 2θ = 49.08°, rel. 44
- d 1.819, 2θ = 50.15°, rel. 81

Cell and atoms:
a b c (Å): 6.127 6.127 7.596
angles (deg): 113.15 113.15 26.78
Fractional coordinates of all 10 atoms:
Ta  0.160  0.160  0.357
Ta  0.336  0.336  0.155
Ta  0.664  0.664  0.845
Ta  0.840  0.840  0.643
O  0.027  0.027  0.792
O  0.313  0.313  0.846
O  0.362  0.362  0.445
O  0.638  0.638  0.555
O  0.687  0.687  0.154
O  0.973  0.973  0.208

=====

The following is a calculated powder X-ray diffraction pattern of Ta2O5. It was derived from a PBE-relaxed structure, using Cu Kα, 1.54184 Å.
No peak broadening, texture or thermal motion is included.

Largest 10 diffraction maxima, by angle, 2θ = 10–90°:
- d 3.892, 2θ = 22.85°, rel. 88
- d 3.263, 2θ = 27.33°, rel. 60
- d 3.219, 2θ = 27.71°, rel. 100
- d 2.501, 2θ = 35.91°, rel. 40
- d 2.481, 2θ = 36.21°, rel. 66
- d 1.875, 2θ = 48.54°, rel. 27
- d 1.690, 2θ = 54.30°, rel. 29
- d 1.671, 2θ = 54.94°, rel. 33
- d 1.665, 2θ = 55.15°, rel. 30
- d 1.350, 2θ = 69.62°, rel. 18

Cell and atoms:
a b c (Å): 3.700 3.892 6.527
angles (deg): 90.00 90.00 90.00
Fractional coordinates of all 7 atoms:
Ta  0.000  0.000  0.000
Ta  0.500  0.000  0.500
O  0.000  0.000  0.320
O  0.000  0.000  0.680
O  0.000  0.500  0.000
O  0.500  0.000  0.000
O  0.500  0.500  0.500

=====

The following is a calculated powder X-ray diffraction pattern of Ta2O. It was derived from a PBE-relaxed structure, using Cu Kα, 1.54184 Å.
No peak broadening, texture or thermal motion is included.

Largest 10 diffraction maxima, by angle, 2θ = 10–90°:
- d 3.072, 2θ = 29.06°, rel. 11
- d 2.661, 2θ = 33.69°, rel. 100
- d 2.011, 2θ = 45.08°, rel. 8
- d 1.881, 2θ = 48.38°, rel. 13
- d 1.774, 2θ = 51.52°, rel. 11
- d 1.536, 2θ = 60.25°, rel. 26
- d 1.476, 2θ = 62.98°, rel. 8
- d 1.330, 2θ = 70.83°, rel. 7
- d 1.221, 2θ = 78.32°, rel. 8
- d 1.190, 2θ = 80.77°, rel. 7

Cell and atoms:
a b c (Å): 6.517 6.517 6.517
angles (deg): 109.47 109.47 109.47
Fractional coordinates of all 12 atoms:
Ta  0.000  0.000  0.000
Ta  0.000  0.000  0.571
Ta  0.000  0.500  0.500
Ta  0.000  0.571  0.000
Ta  0.429  0.429  0.429
Ta  0.500  0.000  0.500
Ta  0.500  0.500  0.000
Ta  0.571  0.000  0.000
O  0.000  0.000  0.289
O  0.000  0.289  0.000
O  0.289  0.000  0.000
O  0.711  0.711  0.711

=====

The following is a calculated powder X-ray diffraction pattern of Ta2O5. It was derived from a PBE-relaxed structure, using Cu Kα, 1.54184 Å.
No peak broadening, texture or thermal motion is included.

Largest 10 diffraction maxima, by angle, 2θ = 10–90°:
- d 6.564, 2θ = 13.49°, rel. 29
- d 3.904, 2θ = 22.78°, rel. 100
- d 3.713, 2θ = 23.97°, rel. 76
- d 3.282, 2θ = 27.17°, rel. 49
- d 2.900, 2θ = 30.84°, rel. 66
- d 2.691, 2θ = 33.30°, rel. 44
- d 2.512, 2θ = 35.74°, rel. 32
- d 2.328, 2θ = 38.68°, rel. 46
- d 1.688, 2θ = 54.35°, rel. 23
- d 1.549, 2θ = 59.68°, rel. 25

Cell and atoms:
a b c (Å): 3.871 13.128 3.904
angles (deg): 90.00 90.00 90.00
Fractional coordinates of all 14 atoms:
Ta  0.250  0.104  0.023
Ta  0.250  0.396  0.023
Ta  0.750  0.604  0.977
Ta  0.750  0.896  0.977
O  0.250  0.102  0.507
O  0.250  0.250  0.005
O  0.250  0.398  0.507
O  0.250  0.565  0.998
O  0.250  0.935  0.998
O  0.750  0.065  0.002
O  0.750  0.435  0.002
O  0.750  0.602  0.493
O  0.750  0.750  0.995
O  0.750  0.898  0.493

=====

The following is a calculated powder X-ray diffraction pattern of Ta11O2. It was derived from a PBE-relaxed structure, using Cu Kα, 1.54184 Å.
No peak broadening, texture or thermal motion is included.

Largest 10 diffraction maxima, by angle, 2θ = 10–90°:
- d 2.392, 2θ = 37.61°, rel. 54
- d 2.368, 2θ = 38.00°, rel. 47
- d 2.357, 2θ = 38.19°, rel. 55
- d 2.348, 2θ = 38.34°, rel. 54
- d 2.327, 2θ = 38.69°, rel. 100
- d 1.685, 2θ = 54.46°, rel. 17
- d 1.680, 2θ = 54.61°, rel. 16
- d 1.627, 2θ = 56.56°, rel. 18
- d 1.363, 2θ = 68.88°, rel. 16
- d 1.361, 2θ = 69.02°, rel. 13

Cell and atoms:
a b c (Å): 7.493 7.524 9.309
angles (deg): 110.00 107.36 101.79
Fractional coordinates of all 26 atoms:
Ta  0.000  0.000  0.000
Ta  0.001  0.295  0.354
Ta  0.203  0.012  0.318
Ta  0.215  0.037  0.825
Ta  0.238  0.713  0.011
Ta  0.246  0.715  0.500
Ta  0.262  0.403  0.181
Ta  0.264  0.388  0.676
Ta  0.493  0.463  0.005
Ta  0.499  0.810  0.844
Ta  0.503  0.141  0.178
Ta  0.511  0.139  0.678
Ta  0.515  0.429  0.516
Ta  0.530  0.861  0.346
Ta  0.745  0.871  0.670
Ta  0.752  0.877  0.161
Ta  0.758  0.561  0.340
Ta  0.761  0.568  0.859
Ta  0.821  0.284  0.047
Ta  0.990  0.969  0.508
Ta  0.995  0.293  0.820
Ta  0.998  0.623  0.667
O  0.503  0.637  0.422
O  0.521  0.145  0.433
O  0.522  0.145  0.930
O  0.997  0.777  0.094

=====

The following is a calculated powder X-ray diffraction pattern of Ta2O5. It was derived from a PBE-relaxed structure, using Cu Kα, 1.54184 Å.
No peak broadening, texture or thermal motion is included.

Largest 10 diffraction maxima, by angle, 2θ = 10–90°:
- d 3.931, 2θ = 22.62°, rel. 100
- d 3.682, 2θ = 24.17°, rel. 43
- d 3.001, 2θ = 29.77°, rel. 23
- d 2.687, 2θ = 33.34°, rel. 51
- d 2.602, 2θ = 34.47°, rel. 13
- d 2.325, 2θ = 38.72°, rel. 11
- d 1.965, 2θ = 46.20°, rel. 16
- d 1.734, 2θ = 52.81°, rel. 20
- d 1.666, 2θ = 55.12°, rel. 33
- d 1.568, 2θ = 58.89°, rel. 13

Cell and atoms:
a b c (Å): 5.998 10.407 3.682
angles (deg): 90.00 90.00 90.00
Fractional coordinates of all 14 atoms:
Ta  0.213  0.138  0.000
Ta  0.287  0.638  0.000
Ta  0.713  0.362  0.000
Ta  0.787  0.862  0.000
O  0.000  0.000  0.000
O  0.027  0.278  0.000
O  0.213  0.598  0.500
O  0.287  0.098  0.500
O  0.473  0.778  0.000
O  0.500  0.500  0.000
O  0.527  0.222  0.000
O  0.713  0.902  0.500
O  0.787  0.402  0.500
O  0.973  0.722  0.000

=====

The following is a calculated powder X-ray diffraction pattern of Ta2O5. It was derived from a PBE-relaxed structure, using Cu Kα, 1.54184 Å.
No peak broadening, texture or thermal motion is included.

Largest 10 diffraction maxima, by angle, 2θ = 10–90°:
- d 3.743, 2θ = 23.77°, rel. 21
- d 3.659, 2θ = 24.33°, rel. 100
- d 3.065, 2θ = 29.13°, rel. 27
- d 2.628, 2θ = 34.11°, rel. 50
- d 2.605, 2θ = 34.43°, rel. 30
- d 2.543, 2θ = 35.30°, rel. 34
- d 1.985, 2θ = 45.71°, rel. 18
- d 1.871, 2θ = 48.66°, rel. 17
- d 1.854, 2θ = 49.13°, rel. 21
- d 1.696, 2θ = 54.07°, rel. 16

Cell and atoms:
a b c (Å): 4.026 4.026 5.827
angles (deg): 111.53 111.53 80.63
Fractional coordinates of all 7 atoms:
Ta  0.191  0.191  0.295
Ta  0.809  0.809  0.705
O  0.199  0.147  0.961
O  0.242  0.758  0.500
O  0.596  0.250  0.645
O  0.750  0.404  0.355
O  0.853  0.801  0.039

=====

What did the fourth record say?
The following is a calculated powder X-ray diffraction pattern of Ta2O3. It was derived from a PBE-relaxed structure, using Cu Kα, 1.54184 Å.
No peak broadening, texture or thermal motion is included.

Largest 10 diffraction maxima, by angle, 2θ = 10–90°:
- d 5.452, 2θ = 16.26°, rel. 80
- d 3.680, 2θ = 24.18°, rel. 78
- d 2.752, 2θ = 32.54°, rel. 49
- d 2.726, 2θ = 32.85°, rel. 28
- d 2.507, 2θ = 35.82°, rel. 48
- d 2.470, 2θ = 36.38°, rel. 100
- d 2.303, 2θ = 39.12°, rel. 41
- d 1.867, 2θ = 48.79°, rel. 31
- d 1.856, 2θ = 49.08°, rel. 44
- d 1.819, 2θ = 50.15°, rel. 81

Cell and atoms:
a b c (Å): 6.127 6.127 7.596
angles (deg): 113.15 113.15 26.78
Fractional coordinates of all 10 atoms:
Ta  0.160  0.160  0.357
Ta  0.336  0.336  0.155
Ta  0.664  0.664  0.845
Ta  0.840  0.840  0.643
O  0.027  0.027  0.792
O  0.313  0.313  0.846
O  0.362  0.362  0.445
O  0.638  0.638  0.555
O  0.687  0.687  0.154
O  0.973  0.973  0.208